Diffraction record for NdTh2Se4. The XRD peak list is theoretical, not measured: it uses the GGA-PBE geometry in Alexandria and Cu Ka.
Kinematic intensities with the Lorentz-polarization factor, no thermal factor.

Most intense lines, 2θ from 10° to 80°, in order of rising 2θ:
24.2 deg, I = 55; 24.8 deg, I = 71; 31.2 deg, I = 66; 31.5 deg, I = 85; 32.5 deg, I = 100; 37.2 deg, I = 44; 37.5 deg, I = 60; 37.7 deg, I = 44; 38.2 deg, I = 55; 46.4 deg, I = 47

Structure:
a b c (Å): 7.7380 7.7380 7.7380
angles (deg): 111.80 108.75 107.89
Atoms (fractional coordinates):
1 Nd 0.1584 0.4084 0.7500
2 Nd 0.3416 0.0916 0.2500
3 Th 0.2500 0.8786 0.6286
4 Th 0.6465 0.7500 0.3965
5 Th 0.7500 0.6214 0.8714
6 Th 0.8535 0.2500 0.1035
7 Se 0.0053 0.0022 0.8546
8 Se 0.1473 0.6396 0.1507
9 Se 0.3527 0.5034 0.4923
10 Se 0.4947 0.3493 0.9970
11 Se 0.5111 0.8604 0.0077
12 Se 0.6476 0.1507 0.6454
13 Se 0.8524 0.4978 0.5030
14 Se 0.9889 0.9966 0.3493


Diffraction record for NdTh2Se6. The XRD peak list is theoretical, not measured: it uses the GGA-PBE geometry in Alexandria and Cu Ka.
Kinematic intensities with the Lorentz-polarization factor, no thermal factor.

Most intense lines, 2θ from 10° to 80°, in order of rising 2θ:
18.3 deg, I = 100; 24.0 deg, I = 49; 27.3 deg, I = 35; 35.7 deg, I = 96; 37.1 deg, I = 33; 40.8 deg, I = 18; 44.7 deg, I = 49; 45.1 deg, I = 20; 56.4 deg, I = 20; 78.2 deg, I = 18

Structure:
a b c (Å): 6.8460 6.8460 13.2629
angles (deg): 90.00 90.00 90.00
Atoms (fractional coordinates):
1 Nd 0.0000 0.0000 0.0000
2 Nd 0.5000 0.5000 0.5000
3 Th 0.0000 0.0000 0.3331
4 Th 0.0000 0.0000 0.6669
5 Th 0.5000 0.5000 0.1669
6 Th 0.5000 0.5000 0.8331
7 Se 0.1941 0.1941 0.5000
8 Se 0.1997 0.1997 0.1692
9 Se 0.1997 0.1997 0.8308
10 Se 0.3003 0.6997 0.3308
11 Se 0.3003 0.6997 0.6692
12 Se 0.3059 0.6941 0.0000
13 Se 0.6941 0.3059 0.0000
14 Se 0.6997 0.3003 0.3308
15 Se 0.6997 0.3003 0.6692
16 Se 0.8003 0.8003 0.1692
17 Se 0.8003 0.8003 0.8308
18 Se 0.8059 0.8059 0.5000


Diffraction record for NdTh3Se4. The XRD peak list is theoretical, not measured: it uses the GGA-PBE geometry in Alexandria and Cu Ka.
Kinematic intensities with the Lorentz-polarization factor, no thermal factor.

Most intense lines, 2θ from 10° to 80°, in order of rising 2θ:
25.9 deg, I = 36; 30.0 deg, I = 100; 43.0 deg, I = 76; 50.9 deg, I = 19; 53.3 deg, I = 27; 62.4 deg, I = 8; 62.5 deg, I = 4; 68.8 deg, I = 8; 70.8 deg, I = 35; 78.8 deg, I = 26

Structure:
a b c (Å): 5.9538 5.9538 11.8904
angles (deg): 90.00 90.00 90.00
Atoms (fractional coordinates):
1 Nd 0.0000 0.0000 0.0000
2 Nd 0.5000 0.5000 0.5000
3 Th 0.0000 0.0000 0.5000
4 Th 0.0000 0.5000 0.2500
5 Th 0.0000 0.5000 0.7500
6 Th 0.5000 0.0000 0.2500
7 Th 0.5000 0.0000 0.7500
8 Th 0.5000 0.5000 0.0000
9 Se 0.0000 0.0000 0.2495
10 Se 0.0000 0.0000 0.7505
11 Se 0.0000 0.5000 0.0000
12 Se 0.0000 0.5000 0.5000
13 Se 0.5000 0.0000 0.0000
14 Se 0.5000 0.0000 0.5000
15 Se 0.5000 0.5000 0.2505
16 Se 0.5000 0.5000 0.7495


Diffraction record for Nd3ThSe4. The XRD peak list is theoretical, not measured: it uses the GGA-PBE geometry in Alexandria and Cu Ka.
Kinematic intensities with the Lorentz-polarization factor, no thermal factor.

Most intense lines, 2θ from 10° to 80°, in order of rising 2θ:
25.8 deg, I = 11; 29.9 deg, I = 100; 42.7 deg, I = 13; 42.8 deg, I = 50; 43.0 deg, I = 12; 53.0 deg, I = 13; 53.3 deg, I = 13; 62.2 deg, I = 12; 70.5 deg, I = 23; 78.3 deg, I = 13

Structure:
a b c (Å): 8.4697 11.9507 4.2069
angles (deg): 90.00 90.00 90.00
Atoms (fractional coordinates):
1 Nd 0.0000 0.0000 0.0000
2 Nd 0.2500 0.2500 0.5000
3 Nd 0.2500 0.7500 0.5000
4 Nd 0.5000 0.5000 0.0000
5 Nd 0.7500 0.2500 0.5000
6 Nd 0.7500 0.7500 0.5000
7 Th 0.0000 0.5000 0.0000
8 Th 0.5000 0.0000 0.0000
9 Se 0.0000 0.2506 0.0000
10 Se 0.0000 0.7494 0.0000
11 Se 0.2504 0.0000 0.5000
12 Se 0.2496 0.5000 0.5000
13 Se 0.5000 0.2494 0.0000
14 Se 0.5000 0.7506 0.0000
15 Se 0.7496 0.0000 0.5000
16 Se 0.7504 0.5000 0.5000


Diffraction record for Nd3ThTl4Se8. The XRD peak list is theoretical, not measured: it uses the GGA-PBE geometry in Alexandria and Cu Ka.
Kinematic intensities with the Lorentz-polarization factor, no thermal factor.

Most intense lines, 2θ from 10° to 80°, in order of rising 2θ:
22.7 deg, I = 10; 25.1 deg, I = 21; 28.4 deg, I = 100; 39.1 deg, I = 39; 42.1 deg, I = 36; 51.6 deg, I = 19; 58.8 deg, I = 12; 64.5 deg, I = 16; 68.7 deg, I = 22; 75.0 deg, I = 12

Structure:
a b c (Å): 9.2620 9.2620 9.2620
angles (deg): 55.19 55.19 55.19
Atoms (fractional coordinates):
1 Nd 0.0000 0.5000 0.5000
2 Nd 0.5000 0.0000 0.5000
3 Nd 0.5000 0.5000 0.0000
4 Th 0.0000 0.0000 0.0000
5 Tl 0.0000 0.0000 0.5000
6 Tl 0.0000 0.5000 0.0000
7 Tl 0.5000 0.0000 0.0000
8 Tl 0.5000 0.5000 0.5000
9 Se 0.2344 0.2344 0.7440
10 Se 0.2344 0.7440 0.2344
11 Se 0.2560 0.7656 0.7656
12 Se 0.2620 0.2620 0.2620
13 Se 0.7380 0.7380 0.7380
14 Se 0.7440 0.2344 0.2344
15 Se 0.7656 0.2560 0.7656
16 Se 0.7656 0.7656 0.2560


Diffraction record for Nd3TmTh4Se8. The XRD peak list is theoretical, not measured: it uses the GGA-PBE geometry in Alexandria and Cu Ka.
Kinematic intensities with the Lorentz-polarization factor, no thermal factor.

Most intense lines, 2θ from 10° to 80°, in order of rising 2θ:
25.3 deg, I = 11; 26.3 deg, I = 22; 30.2 deg, I = 100; 42.6 deg, I = 39; 43.9 deg, I = 36; 54.2 deg, I = 20; 62.8 deg, I = 13; 70.3 deg, I = 21; 72.1 deg, I = 17; 79.7 deg, I = 13

Structure:
a b c (Å): 8.5054 8.5054 8.5054
angles (deg): 58.08 58.08 58.08
Atoms (fractional coordinates):
1 Nd 0.0000 0.5000 0.5000
2 Nd 0.5000 0.0000 0.5000
3 Nd 0.5000 0.5000 0.0000
4 Tm 0.0000 0.0000 0.0000
5 Th 0.0000 0.0000 0.5000
6 Th 0.0000 0.5000 0.0000
7 Th 0.5000 0.0000 0.0000
8 Th 0.5000 0.5000 0.5000
9 Se 0.2428 0.2428 0.7560
10 Se 0.2428 0.7560 0.2428
11 Se 0.2440 0.7572 0.7572
12 Se 0.2508 0.2508 0.2508
13 Se 0.7492 0.7492 0.7492
14 Se 0.7560 0.2428 0.2428
15 Se 0.7572 0.2440 0.7572
16 Se 0.7572 0.7572 0.2440